Record 1
# DyTh2TaC4
Theoretical powder diffraction line list, Cu Kα (weighted mean of Kα1 and Kα2). Input: a cell relaxed with PBE.

Crystal structure
```
16
Lattice="-3.5271 3.5911 5.0560 3.5271 -3.5911 5.0560 3.5271 3.5911 -5.0560" Properties=species:S:1:pos:R:3 pbc="T T T"
Dy 0.0000 0.0000 0.0000
Dy 0.0000 3.5911 0.0000
Th 3.5271 0.0000 0.0000
Th -1.7635 1.7956 2.5280
Th 0.0000 0.0000 5.0560
Th 1.7635 1.7956 2.5280
Ta 1.7635 1.7956 -2.5280
Ta 1.7635 -1.7956 2.5280
C 3.5271 3.3847 -2.5512
C 3.5271 -0.2065 2.5512
C 1.7619 1.7956 -0.2100
C 1.7652 -1.7956 4.8461
C 1.7619 5.3867 0.2100
C 1.7652 1.7956 5.2660
C 0.0000 3.7976 2.5048
C 0.0000 0.2065 7.6073
```

Largest 10 diffraction maxima, in order of rising 2θ, 2θ from 5° to 70°:
two_theta  Rel. int.
30.53  100
30.91  97
35.51  42
35.68  82
50.85  15
51.22  59
60.71  46
60.92  15
61.37  29
63.56  15

***

Record 2
# V2Os5Ru4
Theoretical powder diffraction line list, Cu Kα (weighted mean of Kα1 and Kα2). Input: a cell relaxed with PBE.

Crystal structure
```
11
Lattice="3.8128 0.0000 0.0000 0.0041 6.0815 0.0000 1.9010 1.8651 6.6795" Properties=species:S:1:pos:R:3 pbc="T T T"
V 0.9513 3.3199 2.1091
V 4.7666 4.6267 4.5704
Os 0.9505 0.9326 3.3398
Os 2.8560 3.9812 6.3655
Os 2.8530 6.3991 5.1813
Os 2.8649 1.5475 1.4982
Os 2.8619 3.9655 0.3140
Ru 0.9539 5.7834 0.9312
Ru 2.8568 2.7622 3.9420
Ru 2.8611 5.1844 2.7376
Ru 4.7640 2.1633 5.7484
```

Largest 10 diffraction maxima, in order of rising 2θ, 2θ from 5° to 70°:
two_theta  Rel. int.
17.24  18
30.87  10
40.72  100
40.83  99
47.18  33
47.43  33
47.70  32
68.97  10
69.33  31
69.54  20

***

Record 3
# LiNd2ErS5
Theoretical powder diffraction line list, Cu Kα (weighted mean of Kα1 and Kα2). Input: a cell relaxed with PBE.

Crystal structure
```
18
Lattice="1.9875 -8.2361 0.0000 1.9875 8.2361 0.0000 0.0000 0.0000 11.8925" Properties=species:S:1:pos:R:3 pbc="T T T"
Li 1.9875 7.9945 5.9463
Li 1.9875 -7.9945 0.0000
Nd 1.9875 2.0576 3.7605
Nd 1.9875 1.7772 8.3741
Nd 1.9875 -1.7772 2.4279
Nd 1.9875 -2.0576 9.7068
Er 1.9875 3.2566 0.2548
Er 1.9875 -3.2566 6.2011
S 1.9875 8.2309 3.5964
S 1.9875 -8.2309 9.5427
S 1.9875 5.9657 0.2052
S 1.9875 5.0642 4.3424
S 1.9875 4.7165 8.0641
S 1.9875 0.7858 1.0501
S 1.9875 -0.7858 6.9963
S 1.9875 -4.7165 2.1179
S 1.9875 -5.0642 10.2887
S 1.9875 -5.9657 6.1515
```

Largest 10 diffraction maxima, in order of rising 2θ, 2θ from 5° to 70°:
two_theta  Rel. int.
18.40  25
22.85  23
23.02  33
24.93  45
27.71  26
32.35  100
33.50  30
38.59  61
45.65  22
47.49  32

***

Record 4
# ErFe6Sn6
Theoretical powder diffraction line list, Cu Kα (weighted mean of Kα1 and Kα2). Input: a cell relaxed with PBE.

Crystal structure
```
52
Lattice="4.4749 -18.6809 0.0000 4.4749 18.6809 0.0000 0.0000 0.0000 5.4093" Properties=species:S:1:pos:R:3 pbc="T T T"
Er 4.4749 16.3280 4.0570
Er 4.4749 11.5980 1.3523
Er 4.4749 -11.5980 4.0570
Er 4.4749 -16.3280 1.3523
Fe 2.2374 9.3404 0.0000
Fe 2.2374 9.3404 2.7046
Fe 2.2104 7.0083 1.3523
Fe 2.2003 4.6644 0.0042
Fe 2.2003 4.6644 2.7004
Fe 2.2014 2.3377 4.0570
Fe 2.2013 0.0000 0.0000
Fe 2.2013 0.0000 2.7046
Fe 2.2014 -2.3377 1.3523
Fe 2.2003 -4.6644 2.7088
Fe 2.2003 -4.6644 5.4051
Fe 2.2104 -7.0083 4.0570
Fe 2.2374 -9.3404 0.0000
Fe 2.2374 -9.3404 2.7046
Fe 6.7393 7.0083 1.3523
Fe 6.7495 4.6644 0.0042
Fe 6.7495 4.6644 2.7004
Fe 6.7483 2.3377 4.0570
Fe 6.7484 0.0000 0.0000
Fe 6.7484 0.0000 2.7046
Fe 6.7483 -2.3377 1.3523
Fe 6.7495 -4.6644 2.7088
Fe 6.7495 -4.6644 5.4051
Fe 6.7393 -7.0083 4.0570
Sn 4.4749 17.8984 1.3523
Sn 4.4749 14.7649 1.3523
Sn 4.4749 13.1956 4.0570
Sn 3.0125 6.9832 4.0570
Sn 4.4749 10.0645 4.0570
Sn 4.4749 8.4836 1.3523
Sn 3.0144 2.3261 1.3523
Sn 4.4749 5.4092 1.3523
Sn 4.4749 3.8846 4.0570
Sn 3.0144 -2.3261 4.0570
Sn 5.9373 6.9832 4.0570
Sn 4.4749 0.7737 4.0570
Sn 4.4749 -0.7737 1.3523
Sn 3.0125 -6.9832 1.3523
Sn 5.9354 2.3261 1.3523
Sn 4.4749 -3.8846 1.3523
Sn 4.4749 -5.4092 4.0570
Sn 5.9354 -2.3261 4.0570
Sn 4.4749 -8.4836 4.0570
Sn 4.4749 -10.0645 1.3523
Sn 5.9373 -6.9832 1.3523
Sn 4.4749 -13.1956 1.3523
Sn 4.4749 -14.7649 4.0570
Sn 4.4749 -17.8984 4.0570
```

Largest 10 diffraction maxima, in order of rising 2θ, 2θ from 5° to 70°:
two_theta  Rel. int.
33.17  100
35.10  14
38.45  22
38.95  93
40.31  24
43.68  56
44.91  16
59.21  16
63.10  15
69.69  20